This entry pairs a crystal structure of Li7Mn4CoO12 with its theoretical powder diffraction line list. Radiation: Cu Ka. Structure: a crystal structure in Alexandria, relaxed with PBE+U.
No peak broadening, texture or thermal motion is included.

Top 10 peaks for 2θ from 15° to 90°, sorted by position:
(1 0 0), 18.4°, intensity 100
(0 2 -1), 35.4°, intensity 14
(0 2 2), 35.9°, intensity 13
(1 0 3), 36.2°, intensity 13
(1 2 -1), 43.0°, intensity 30
(-1 2 2), 43.6°, intensity 29
(2 0 3), 43.9°, intensity 29
(0 4 1), 62.5°, intensity 8
(3 2 2), 63.0°, intensity 15
(1 -2 4), 63.2°, intensity 15

Structure:
```
data_Li7Mn4CoO12
_cell_length_a 5.100
_cell_length_b 5.942
_cell_length_c 7.677
_cell_angle_alpha 79.68
_cell_angle_beta 71.34
_cell_angle_gamma 89.98
_symmetry_space_group_name_H-M 'P 1'
_symmetry_Int_Tables_number 1
_symmetry_space_group_name_Hall 'P 1'
loop_
_atom_site_label
_atom_site_type_symbol
_atom_site_fract_x
_atom_site_fract_y
_atom_site_fract_z
Li1 Li 0.000 0.000 0.000
Li2 Li 0.003 0.495 0.001
Li3 Li 0.011 0.823 0.670
Li4 Li 0.493 0.581 0.668
Li5 Li 0.968 0.649 0.354
Li6 Li 0.986 0.169 0.339
Li7 Li 0.990 0.347 0.667
Mn1 Mn 0.489 0.911 0.341
Mn2 Mn 0.495 0.744 0.003
Mn3 Mn 0.496 0.252 0.000
Mn4 Mn 0.503 0.087 0.667
Co1 Co 0.487 0.417 0.344
O1 O 0.253 0.432 0.158
O2 O 0.254 0.647 0.485
O3 O 0.268 0.102 0.509
O4 O 0.276 0.275 0.835
O5 O 0.280 0.965 0.160
O6 O 0.281 0.809 0.835
O7 O 0.709 0.190 0.172
O8 O 0.717 0.889 0.499
O9 O 0.720 0.726 0.173
O10 O 0.724 0.526 0.862
O11 O 0.728 0.062 0.831
O12 O 0.728 0.353 0.512
```